For Mn3VSn2P6O24, the GGA+U geometry in Alexandria gives the simulated powder diffraction line list in this record (CuKα).
Peak positions follow from Bragg's law for the DFT cell and can differ from measured ones.

Most intense lines, 15 to 90 degrees two-theta, low angle first:
- d = 4.340 Å, rel. 970
- d = 3.738 Å, rel. 665
- d = 3.558 Å, rel. 298
- d = 2.807 Å, rel. 1000
- d = 2.752 Å, rel. 176
- d = 2.506 Å, rel. 415
- d = 1.980 Å, rel. 279
- d = 1.869 Å, rel. 355
- d = 1.640 Å, rel. 259
- d = 1.498 Å, rel. 284

Structure:
Cell lengths 8.9033, 8.9033, 8.9033 Å; angles 58.35, 58.35, 58.35 degrees
Fractional positions:
Mn  0.0000  0.0000  0.0000
Mn  0.2016  0.2016  0.2016
Mn  0.6974  0.6974  0.6974
V  0.4948  0.4948  0.4948
Sn  0.3465  0.3465  0.3465
Sn  0.8484  0.8484  0.8484
P  0.1017  0.8137  0.3997
P  0.2971  0.5936  0.8881
P  0.3997  0.1017  0.8137
P  0.5936  0.8881  0.2971
P  0.8137  0.3997  0.1017
P  0.8881  0.2971  0.5936
O  0.0446  0.8307  0.2578
O  0.0866  0.2573  0.4367
O  0.1051  0.7614  0.8813
O  0.1767  0.9644  0.3411
O  0.2573  0.4367  0.0866
O  0.2578  0.0446  0.8307
O  0.2579  0.6164  0.4440
O  0.3411  0.1767  0.9644
O  0.3602  0.5231  0.7325
O  0.4367  0.0866  0.2573
O  0.4393  0.6515  0.8703
O  0.4440  0.2579  0.6164
O  0.5231  0.7325  0.3602
O  0.5910  0.9314  0.8202
O  0.6164  0.4440  0.2579
O  0.6515  0.8703  0.4393
O  0.7325  0.3602  0.5231
O  0.7614  0.8813  0.1051
O  0.8202  0.5910  0.9314
O  0.8307  0.2578  0.0446
O  0.8703  0.4393  0.6515
O  0.8813  0.1051  0.7614
O  0.9314  0.8202  0.5910
O  0.9644  0.3411  0.1767